Li3Fe2Si2O8: calculated powder X-ray diffraction pattern (Cu Ka), based on the PBE+U geometry in Alexandria.

Peak list (12 most intense, 2θ from 15° to 90°, by angle)
2θ = 20.63°, 4.305 Å, I 39.7; 2θ = 20.99°, 4.232 Å, I 100.0; 2θ = 21.77°, 4.082 Å, I 73.4; 2θ = 25.38°, 3.509 Å, I 81.2; 2θ = 26.77°, 3.330 Å, I 15.0; 2θ = 27.45°, 3.250 Å, I 22.3; 2θ = 31.36°, 2.852 Å, I 30.7; 2θ = 32.77°, 2.733 Å, I 34.9; 2θ = 34.97°, 2.566 Å, I 13.9; 2θ = 35.33°, 2.541 Å, I 15.6; 2θ = 42.97°, 2.105 Å, I 20.2; 2θ = 57.62°, 1.600 Å, I 19.0

Structure:
```
Li3Fe2Si2O8
1.0
8.3611 0.0000 0.0000
0.0000 5.4664 0.0000
-1.8991 0.0000 8.6090
Li Fe Si O
6 4 4 16
Direct
0.0000 0.1520 0.0000
0.0000 0.8480 0.5000
0.4150 0.3225 0.2234
0.4150 0.6775 0.7234
0.9184 0.3292 0.6632
0.9184 0.6708 0.1632
0.1024 0.3219 0.3625
0.1024 0.6781 0.8625
0.5860 0.1819 0.7095
0.5860 0.8181 0.2095
0.2147 0.1703 0.7340
0.2147 0.8297 0.2340
0.7225 0.3140 0.0776
0.7225 0.6860 0.5776
0.0807 0.1769 0.5651
0.0807 0.8231 0.0651
0.1136 0.3060 0.8528
0.1136 0.6940 0.3528
0.2661 0.1099 0.2852
0.2661 0.8901 0.7852
0.3816 0.3260 0.7197
0.3816 0.6740 0.2197
0.5891 0.1540 0.1495
0.5891 0.8460 0.6495
0.6757 0.3910 0.5773
0.6757 0.6090 0.0773
0.7333 0.2167 0.9031
0.7333 0.7833 0.4031
0.9131 0.2988 0.1730
0.9131 0.7012 0.6730
```



VPO5: calculated powder X-ray diffraction pattern (Cu Ka), based on the PBE+U geometry in Alexandria.

Peak list (12 most intense, 2θ from 15° to 90°, by angle)
2θ = 16.69°, 5.311 Å, I 38.3; 2θ = 18.76°, 4.729 Å, I 38.6; 2θ = 24.55°, 3.625 Å, I 20.3; 2θ = 25.94°, 3.435 Å, I 100.0; 2θ = 27.12°, 3.288 Å, I 27.5; 2θ = 28.62°, 3.119 Å, I 63.6; 2θ = 29.69°, 3.009 Å, I 21.0; 2θ = 30.74°, 2.909 Å, I 15.1; 2θ = 39.84°, 2.263 Å, I 13.0; 2θ = 45.36°, 1.999 Å, I 17.1; 2θ = 58.02°, 1.590 Å, I 16.3; 2θ = 73.43°, 1.290 Å, I 14.1

Structure:
```
VPO5
1.0
7.8000 0.0000 0.0000
0.0000 6.2384 0.0000
0.0000 0.0000 7.2509
V P O
4 4 20
Direct
0.1741 0.2500 0.2268
0.3259 0.7500 0.7268
0.6741 0.2500 0.2732
0.8259 0.7500 0.7732
0.1224 0.7500 0.1122
0.3776 0.2500 0.6122
0.6224 0.7500 0.3878
0.8776 0.2500 0.8878
0.0460 0.2500 0.9985
0.1302 0.5521 0.2389
0.1302 0.9479 0.2389
0.1316 0.7500 0.6505
0.2191 0.2500 0.4806
0.2809 0.7500 0.9806
0.3684 0.2500 0.1505
0.3698 0.0521 0.7389
0.3698 0.4479 0.7389
0.4540 0.7500 0.4985
0.5460 0.2500 0.5015
0.6302 0.5521 0.2611
0.6302 0.9479 0.2611
0.6316 0.7500 0.8495
0.7191 0.2500 0.0194
0.7809 0.7500 0.5194
0.8684 0.2500 0.3495
0.8698 0.0521 0.7611
0.8698 0.4479 0.7611
0.9540 0.7500 0.0015
```